Structure and theoretical powder X-ray diffraction pattern of TbCeSeO2 (a crystal structure in Alexandria, relaxed with GGA-PBE; a wavelength of 1.5418 Å).

Structural model:
Lattice parameters (Å, degrees): 3.8959 3.8959 12.3440 90.00 90.00 90.00
Space group I4mm (No. 107)
Asymmetric unit:
Tb: 0.0000 0.0000 0.0000 (multiplicity 2)
Ce: 0.0000 0.0000 0.3057 (multiplicity 2)
Se: 0.0000 0.0000 0.6527 (multiplicity 2)
O: 0.0000 0.5000 0.4078 (multiplicity 4)

Principal peaks in the range 5° ≤ 2θ ≤ 70°, low angle first:
h k l  Position (°2θ)  I/Imax
1 0 1  23.95  12
1 0 3  31.63  100
1 1 0  32.50  41
0 0 6  44.04  17
2 0 0  46.63  21
1 1 6  55.77  22
2 1 3  57.43  41
2 0 6  66.05  9